(1)
Diffraction record for NdErH2Cl4. The powder X-ray diffraction pattern is calculated, not measured: it uses a structure optimized by DFT (PBE) and Cu Kα (λ = 1.5418 Å).
No peak broadening, texture or thermal motion is included.

Structure:
```
data_NdErH2Cl4
_cell_length_a 3.8076
_cell_length_b 3.8076
_cell_length_c 13.2415
_cell_angle_alpha 90.00
_cell_angle_beta 90.00
_cell_angle_gamma 120.00
_space_group_name_H-M_alt 'P -6 m 2'
_space_group_IT_number 187
_space_group_name_Hall 'P -6 2'
loop_
_atom_site_label
_atom_site_type_symbol
_atom_site_fract_x
_atom_site_fract_y
_atom_site_fract_z
Nd1 Nd 0.0000 0.0000 0.0000
Er1 Er 0.0000 0.0000 0.5000
H1 H 0.3333 0.6667 0.5000
H2 H 0.6667 0.3333 0.0000
Cl1 Cl 0.3333 0.6667 0.1375
Cl2 Cl 0.6667 0.3333 0.3712
```

Peak list (6 most intense, 2θ from 10° to 90°, low angle first)
hkl 0 0 2, 2θ 13.37, 6.621 Å, intensity 100
hkl 1 0 0, 2θ 27.04, 3.297 Å, intensity 36
hkl 1 0 2, 2θ 30.28, 2.952 Å, intensity 98
hkl 1 0 4, 2θ 38.54, 2.336 Å, intensity 73
hkl 1 1 0, 2θ 47.77, 1.904 Å, intensity 28
hkl 1 1 2, 2θ 49.84, 1.830 Å, intensity 22

---

(2)
Diffraction record for ErHg3S4Cl. The powder X-ray diffraction pattern is calculated, not measured: it uses a structure optimized by DFT (PBE) and Cu Kα (λ = 1.5418 Å).
No peak broadening, texture or thermal motion is included.

Structure:
```
data_ErHg3S4Cl
_cell_length_a 7.9398
_cell_length_b 7.9398
_cell_length_c 7.9788
_cell_angle_alpha 90.00
_cell_angle_beta 90.00
_cell_angle_gamma 120.00
_space_group_name_H-M_alt 'P 63 m c'
_space_group_IT_number 186
_space_group_name_Hall 'P 6c -2c'
loop_
_atom_site_label
_atom_site_type_symbol
_atom_site_fract_x
_atom_site_fract_y
_atom_site_fract_z
Er1 Er 0.0000 0.0000 0.0000
Hg1 Hg 0.0139 0.5069 0.1793
S1 S 0.1408 0.2817 0.7451
S2 S 0.3333 0.6667 0.0228
Cl1 Cl 0.3333 0.6667 0.4510
```

Peak list (6 most intense, 2θ from 10° to 90°, low angle first)
hkl 0 0 2, 2θ 22.28, 3.989 Å, intensity 22
hkl 2 0 0, 2θ 25.89, 3.441 Å, intensity 100
hkl 1 1 2, 2θ 31.80, 2.814 Å, intensity 34
hkl 2 0 2, 2θ 34.44, 2.604 Å, intensity 42
hkl 2 1 2, 2θ 41.47, 2.178 Å, intensity 20
hkl 2 2 0, 2θ 45.69, 1.986 Å, intensity 42

---

(3)
Diffraction record for HoErSnCl2. The powder X-ray diffraction pattern is calculated, not measured: it uses a structure optimized by DFT (PBE) and Cu Kα (λ = 1.5418 Å).
No peak broadening, texture or thermal motion is included.

Structure:
```
data_HoErSnCl2
_cell_length_a 4.1473
_cell_length_b 4.1473
_cell_length_c 9.8660
_cell_angle_alpha 90.00
_cell_angle_beta 90.00
_cell_angle_gamma 120.00
_space_group_name_H-M_alt 'P 3 m 1'
_space_group_IT_number 156
_space_group_name_Hall 'P 3 -2"'
loop_
_atom_site_label
_atom_site_type_symbol
_atom_site_fract_x
_atom_site_fract_y
_atom_site_fract_z
Ho1 Ho 0.0000 0.0000 0.0000
Er1 Er 0.3333 0.6667 0.6369
Sn1 Sn 0.6667 0.3333 0.8177
Cl1 Cl 0.0000 0.0000 0.4866
Cl2 Cl 0.3333 0.6667 0.1515
```

Peak list (6 most intense, 2θ from 10° to 90°, low angle first)
hkl 0 1 1, 2θ 26.41, 3.375 Å, intensity 51
hkl 0 1 2, 2θ 30.79, 2.904 Å, intensity 100
hkl 1 0 3, 2θ 37.06, 2.425 Å, intensity 30
hkl 1 1 0, 2θ 43.65, 2.074 Å, intensity 39
hkl 1 0 4, 2θ 44.59, 2.032 Å, intensity 51
hkl 2 0 2, 2θ 54.37, 1.687 Å, intensity 20

---

(4)
Diffraction record for KEr4ClO6. The powder X-ray diffraction pattern is calculated, not measured: it uses a structure optimized by DFT (PBE) and Cu Kα (λ = 1.5418 Å).
No peak broadening, texture or thermal motion is included.

Structure:
```
data_KEr4ClO6
_cell_length_a 6.6012
_cell_length_b 6.6012
_cell_length_c 8.5567
_cell_angle_alpha 90.00
_cell_angle_beta 90.00
_cell_angle_gamma 120.00
_space_group_name_H-M_alt 'P 6/m m m'
_space_group_IT_number 191
_space_group_name_Hall '-P 6 2'
loop_
_atom_site_label
_atom_site_type_symbol
_atom_site_fract_x
_atom_site_fract_y
_atom_site_fract_z
K1 K 0.0000 0.0000 0.0000
Er1 Er 0.3333 0.6667 0.2584
Cl1 Cl 0.0000 0.0000 0.5000
O1 O 0.0000 0.5000 0.1842
```

Peak list (6 most intense, 2θ from 10° to 90°, low angle first)
hkl 1 0 0, 2θ 15.50, 5.717 Å, intensity 61
hkl 0 0 2, 2θ 20.76, 4.278 Å, intensity 54
hkl 1 0 2, 2θ 26.01, 3.425 Å, intensity 83
hkl 1 1 0, 2θ 27.01, 3.301 Å, intensity 100
hkl 1 1 2, 2θ 34.31, 2.613 Å, intensity 67
hkl 1 1 4, 2θ 50.87, 1.795 Å, intensity 37

---

(5)
Diffraction record for Na2Er3Te4Cl3O12. The powder X-ray diffraction pattern is calculated, not measured: it uses a structure optimized by DFT (PBE) and Cu Kα (λ = 1.5418 Å).
No peak broadening, texture or thermal motion is included.

Structure:
```
data_Na2Er3Te4Cl3O12
_cell_length_a 23.606
_cell_length_b 5.473
_cell_length_c 16.460
_cell_angle_alpha 90.00
_cell_angle_beta 134.02
_cell_angle_gamma 90.00
_space_group_name_H-M_alt 'C 1 2/c 1'
_space_group_IT_number 15
_space_group_name_Hall '-C 2yc'
loop_
_atom_site_label
_atom_site_type_symbol
_atom_site_fract_x
_atom_site_fract_y
_atom_site_fract_z
Na1 Na 0.166 0.228 0.075
Er1 Er 0.000 0.248 0.084
Er2 Er 0.000 0.253 0.750
Te1 Te 0.135 0.208 0.700
Te2 Te 0.138 0.298 0.406
Cl1 Cl 0.250 0.247 0.668
Cl2 Cl 0.250 0.250 0.000
O1 O 0.068 0.076 0.714
O2 O 0.071 0.454 0.590
O3 O 0.072 0.429 0.257
O4 O 0.075 0.044 0.388
O5 O 0.085 0.017 0.077
O6 O 0.086 0.484 0.928
```

Peak list (6 most intense, 2θ from 10° to 90°, low angle first)
hkl 2 0 0, 2θ 10.42, 8.487 Å, intensity 47
hkl 5 1 -3, 2θ 25.27, 3.525 Å, intensity 32
hkl 1 1 3, 2θ 31.26, 2.861 Å, intensity 100
hkl 0 2 0, 2θ 32.68, 2.740 Å, intensity 31
hkl 6 2 -6, 2θ 46.89, 1.937 Å, intensity 17
hkl 1 3 3, 2θ 57.48, 1.603 Å, intensity 18

---

(6)
Diffraction record for Pr5Er2ClO10. The powder X-ray diffraction pattern is calculated, not measured: it uses a structure optimized by DFT (PBE) and Cu Kα (λ = 1.5418 Å).
No peak broadening, texture or thermal motion is included.

Structure:
```
data_Pr5Er2ClO10
_cell_length_a 12.331
_cell_length_b 5.963
_cell_length_c 8.897
_cell_angle_alpha 90.00
_cell_angle_beta 112.26
_cell_angle_gamma 90.00
_space_group_name_H-M_alt 'C 1 2/m 1'
_space_group_IT_number 12
_space_group_name_Hall '-C 2y'
loop_
_atom_site_label
_atom_site_type_symbol
_atom_site_fract_x
_atom_site_fract_y
_atom_site_fract_z
Pr1 Pr 0.000 0.000 0.000
Pr2 Pr 0.010 0.500 0.711
Pr3 Pr 0.233 0.500 0.116
Er1 Er 0.202 0.000 0.425
Cl1 Cl 0.000 0.000 0.500
O1 O 0.122 0.249 0.915
O2 O 0.129 0.500 0.561
O3 O 0.142 0.258 0.260
```

Peak list (6 most intense, 2θ from 10° to 90°, low angle first)
hkl 3 1 -1, 2θ 26.41, 3.375 Å, intensity 45
hkl 3 1 -2, 2θ 29.33, 3.045 Å, intensity 46
hkl 1 1 2, 2θ 29.76, 3.002 Å, intensity 100
hkl 0 2 0, 2θ 29.97, 2.981 Å, intensity 44
hkl 2 2 -3, 2θ 43.16, 2.096 Å, intensity 25
hkl 4 2 0, 2θ 43.92, 2.062 Å, intensity 30

---

(7)
Diffraction record for RbErSeCl2O3. The powder X-ray diffraction pattern is calculated, not measured: it uses a structure optimized by DFT (PBE) and Cu Kα (λ = 1.5418 Å).
No peak broadening, texture or thermal motion is included.

Structure:
```
data_RbErSeCl2O3
_cell_length_a 6.553
_cell_length_b 6.935
_cell_length_c 17.010
_cell_angle_alpha 90.00
_cell_angle_beta 105.35
_cell_angle_gamma 90.00
_space_group_name_H-M_alt 'P 1 21/c 1'
_space_group_IT_number 14
_space_group_name_Hall '-P 2ybc'
loop_
_atom_site_label
_atom_site_type_symbol
_atom_site_fract_x
_atom_site_fract_y
_atom_site_fract_z
Rb1 Rb 0.237 0.199 0.057
Er1 Er 0.136 0.655 0.260
Se1 Se 0.374 0.160 0.296
Cl1 Cl 0.112 0.660 0.104
Cl2 Cl 0.245 0.640 0.420
O1 O 0.181 0.167 0.758
O2 O 0.187 0.522 0.766
O3 O 0.492 0.652 0.276
```

Peak list (6 most intense, 2θ from 10° to 90°, low angle first)
hkl 0 0 2, 2θ 10.79, 8.202 Å, intensity 100
hkl 0 0 4, 2θ 21.67, 4.101 Å, intensity 24
hkl 1 0 -4, 2θ 22.51, 3.951 Å, intensity 25
hkl 0 2 1, 2θ 26.27, 3.392 Å, intensity 56
hkl 2 1 -2, 2θ 30.36, 2.944 Å, intensity 34
hkl 2 1 0, 2θ 31.10, 2.875 Å, intensity 21

---

(8)
Diffraction record for Er3Se2ClO8. The powder X-ray diffraction pattern is calculated, not measured: it uses a structure optimized by DFT (PBE) and Cu Kα (λ = 1.5418 Å).
No peak broadening, texture or thermal motion is included.

Structure:
```
data_Er3Se2ClO8
_cell_length_a 14.838
_cell_length_b 10.973
_cell_length_c 5.457
_cell_angle_alpha 90.00
_cell_angle_beta 105.21
_cell_angle_gamma 90.00
_space_group_name_H-M_alt 'C 1 2/c 1'
_space_group_IT_number 15
_space_group_name_Hall '-C 2yc'
loop_
_atom_site_label
_atom_site_type_symbol
_atom_site_fract_x
_atom_site_fract_y
_atom_site_fract_z
Er1 Er 0.000 0.102 0.250
Er2 Er 0.184 0.106 0.872
Se1 Se 0.137 0.374 0.516
Cl1 Cl 0.000 0.227 0.750
O1 O 0.098 0.005 0.069
O2 O 0.112 0.251 0.324
O3 O 0.204 0.307 0.794
O4 O 0.225 0.444 0.404
```

Peak list (6 most intense, 2θ from 10° to 90°, low angle first)
hkl 1 1 0, 2θ 10.16, 8.710 Å, intensity 99
hkl 3 1 -1, 2θ 23.09, 3.852 Å, intensity 48
hkl 2 2 1, 2θ 28.61, 3.120 Å, intensity 100
hkl 4 2 -1, 2θ 30.91, 2.893 Å, intensity 38
hkl 3 3 -1, 2θ 32.76, 2.734 Å, intensity 42
hkl 1 1 -2, 2θ 33.96, 2.640 Å, intensity 27

---

(9)
Diffraction record for ErScS2Cl2. The powder X-ray diffraction pattern is calculated, not measured: it uses a structure optimized by DFT (PBE) and Cu Kα (λ = 1.5418 Å).
No peak broadening, texture or thermal motion is included.

Structure:
```
data_ErScS2Cl2
_cell_length_a 3.816
_cell_length_b 5.206
_cell_length_c 8.192
_cell_angle_alpha 90.00
_cell_angle_beta 90.00
_cell_angle_gamma 90.00
_space_group_name_H-M_alt 'P m m 2'
_space_group_IT_number 25
_space_group_name_Hall 'P 2 -2'
loop_
_atom_site_label
_atom_site_type_symbol
_atom_site_fract_x
_atom_site_fract_y
_atom_site_fract_z
Er1 Er 0.000 0.000 0.000
Sc1 Sc 0.500 0.500 0.272
S1 S 0.000 0.500 0.057
S2 S 0.500 0.000 0.234
Cl1 Cl 0.000 0.500 0.475
Cl2 Cl 0.500 0.000 0.780
```

Peak list (6 most intense, 2θ from 10° to 90°, low angle first)
hkl 0 0 1, 2θ 10.80, 8.192 Å, intensity 100
hkl 0 1 1, 2θ 20.21, 4.394 Å, intensity 62
hkl 1 1 1, 2θ 31.04, 2.881 Å, intensity 26
hkl 1 0 2, 2θ 32.06, 2.792 Å, intensity 56
hkl 0 2 0, 2θ 34.45, 2.603 Å, intensity 25
hkl 1 2 2, 2θ 47.77, 1.904 Å, intensity 35

---

(10)
Diffraction record for ErTmS2Cl2. The powder X-ray diffraction pattern is calculated, not measured: it uses a structure optimized by DFT (PBE) and Cu Kα (λ = 1.5418 Å).
No peak broadening, texture or thermal motion is included.

Structure:
```
data_ErTmS2Cl2
_cell_length_a 3.934
_cell_length_b 5.302
_cell_length_c 8.288
_cell_angle_alpha 90.00
_cell_angle_beta 90.00
_cell_angle_gamma 90.00
_space_group_name_H-M_alt 'P m m 2'
_space_group_IT_number 25
_space_group_name_Hall 'P 2 -2'
loop_
_atom_site_label
_atom_site_type_symbol
_atom_site_fract_x
_atom_site_fract_y
_atom_site_fract_z
Er1 Er 0.000 0.000 0.000
Tm1 Tm 0.500 0.500 0.276
S1 S 0.000 0.500 0.051
S2 S 0.500 0.000 0.226
Cl1 Cl 0.000 0.500 0.486
Cl2 Cl 0.500 0.000 0.788
```

Peak list (6 most intense, 2θ from 10° to 90°, low angle first)
hkl 0 0 1, 2θ 10.67, 8.288 Å, intensity 100
hkl 0 1 1, 2θ 19.88, 4.466 Å, intensity 73
hkl 1 0 1, 2θ 25.06, 3.554 Å, intensity 28
hkl 1 0 2, 2θ 31.35, 2.853 Å, intensity 63
hkl 1 1 3, 2θ 43.52, 2.080 Å, intensity 30
hkl 1 2 2, 2θ 46.78, 1.942 Å, intensity 40

---

(11)
Diffraction record for ErScCl6. The powder X-ray diffraction pattern is calculated, not measured: it uses a structure optimized by DFT (PBE) and Cu Kα (λ = 1.5418 Å).
No peak broadening, texture or thermal motion is included.

Structure:
```
data_ErScCl6
_cell_length_a 6.583
_cell_length_b 11.439
_cell_length_c 6.422
_cell_angle_alpha 90.00
_cell_angle_beta 110.11
_cell_angle_gamma 90.00
_space_group_name_H-M_alt 'C 1 2 1'
_space_group_IT_number 5
_space_group_name_Hall 'C 2y'
loop_
_atom_site_label
_atom_site_type_symbol
_atom_site_fract_x
_atom_site_fract_y
_atom_site_fract_z
Er1 Er 0.000 0.000 0.000
Sc1 Sc 0.000 0.668 0.000
Cl1 Cl 0.221 0.827 0.239
Cl2 Cl 0.233 0.659 0.765
Cl3 Cl 0.248 0.517 0.237
```

Peak list (6 most intense, 2θ from 10° to 90°, low angle first)
hkl 0 0 1, 2θ 14.69, 6.031 Å, intensity 71
hkl 0 2 0, 2θ 15.49, 5.720 Å, intensity 28
hkl 1 1 0, 2θ 16.30, 5.439 Å, intensity 50
hkl 1 1 -1, 2θ 18.37, 4.830 Å, intensity 36
hkl 2 0 -1, 2θ 27.50, 3.243 Å, intensity 38
hkl 1 3 1, 2θ 33.64, 2.665 Å, intensity 100

---

(12)
Diffraction record for YErSnCl2. The powder X-ray diffraction pattern is calculated, not measured: it uses a structure optimized by DFT (PBE) and Cu Kα (λ = 1.5418 Å).
No peak broadening, texture or thermal motion is included.

Structure:
```
data_YErSnCl2
_cell_length_a 4.1645
_cell_length_b 4.1645
_cell_length_c 9.8258
_cell_angle_alpha 90.00
_cell_angle_beta 90.00
_cell_angle_gamma 120.00
_space_group_name_H-M_alt 'P 3 m 1'
_space_group_IT_number 156
_space_group_name_Hall 'P 3 -2"'
loop_
_atom_site_label
_atom_site_type_symbol
_atom_site_fract_x
_atom_site_fract_y
_atom_site_fract_z
Y1 Y 0.0000 0.0000 0.0000
Er1 Er 0.3333 0.6667 0.6341
Sn1 Sn 0.6667 0.3333 0.8151
Cl1 Cl 0.0000 0.0000 0.4845
Cl2 Cl 0.3333 0.6667 0.1531
```

Peak list (6 most intense, 2θ from 10° to 90°, low angle first)
hkl 0 1 1, 2θ 26.32, 3.386 Å, intensity 45
hkl 0 1 2, 2θ 30.75, 2.907 Å, intensity 100
hkl 1 0 3, 2θ 37.08, 2.425 Å, intensity 31
hkl 1 1 0, 2θ 43.46, 2.082 Å, intensity 38
hkl 1 0 4, 2θ 44.63, 2.030 Å, intensity 35
hkl 2 0 2, 2θ 54.18, 1.693 Å, intensity 20